For TlCoCl3, a crystal structure in the Materials Project, relaxed with GGA-PBE gives the theoretical powder X-ray diffraction pattern in this record (Cu Kα (weighted mean of Kα1 and Kα2)).

Principal peaks in the range 2θ from 10° to 90°, most intense first:
hkl 2 0 1, 2θ 33.3, I 100; hkl 1 0 1, 2θ 21.1, I 89; hkl 1 1 0, 2θ 25.5, I 71; hkl 2 0 2, 2θ 42.9, I 32; hkl 2 1 1, 2θ 42.4, I 28; hkl 1 0 2, 2θ 33.9, I 26; hkl 2 2 0, 2θ 52.4, I 25; hkl 2 0 3, 2θ 56.0, I 22; hkl 2 1 2, 2θ 50.6, I 21; hkl 0 0 2, 2θ 30.5, I 18

Crystal structure
```
data_TlCoCl3
_chemical_formula_sum 'Tl2 Co2 Cl6'
_symmetry_space_group_name_H-M 'P 63/m m c'
_symmetry_Int_Tables_number 194
_symmetry_space_group_name_Hall '-P 6c 2c'
_cell_length_a 6.9879
_cell_length_b 6.9879
_cell_length_c 5.8711
_cell_angle_alpha 90.00
_cell_angle_beta 90.00
_cell_angle_gamma 120.00
loop_
_atom_site_label
_atom_site_fract_x
_atom_site_fract_y
_atom_site_fract_z
_atom_site_occupancy
Tl1 0.3333 0.6667 0.2500 1
Co1 0.0000 0.0000 0.0000 1
Cl1 0.1594 0.3188 0.7500 1
```

=====

For TlCoCl3, a crystal structure in the Materials Project, relaxed with GGA-PBE gives the theoretical powder X-ray diffraction pattern in this record (Cu Kα (weighted mean of Kα1 and Kα2)).

Principal peaks in the range 2θ from 10° to 90°, most intense first:
hkl 2 2 1, 2θ 33.2, I 100; hkl 1 1 1, 2θ 21.0, I 93; hkl 3 0 0, 2θ 25.4, I 73; hkl 2 2 2, 2θ 42.8, I 29; hkl 4 1 1, 2θ 42.2, I 29; hkl 6 0 0, 2θ 52.1, I 26; hkl 1 1 2, 2θ 33.8, I 25; hkl 6 0 4, 2θ 86.3, I 21; hkl 4 1 2, 2θ 50.4, I 20; hkl 2 2 3, 2θ 55.7, I 19

Crystal structure
```
data_TlCoCl3
_chemical_formula_sum 'Tl6 Co6 Cl18'
_symmetry_space_group_name_H-M 'P 63 c m'
_symmetry_Int_Tables_number 185
_symmetry_space_group_name_Hall 'P 6c -2'
_cell_length_a 12.1549
_cell_length_b 12.1549
_cell_length_c 5.8912
_cell_angle_alpha 90.00
_cell_angle_beta 90.00
_cell_angle_gamma 120.00
loop_
_atom_site_label
_atom_site_fract_x
_atom_site_fract_y
_atom_site_fract_z
_atom_site_occupancy
Tl1 0.0000 0.3334 0.0000 1
Co1 0.0000 0.0000 0.2130 1
Co2 0.3333 0.6667 0.2850 1
Cl1 0.0000 0.1585 0.4609 1
Cl2 0.1750 0.5081 0.5368 1
```

=====

For CoW2Cl10, a crystal structure in the Materials Project, relaxed with GGA-PBE gives the theoretical powder X-ray diffraction pattern in this record (Cu Kα (weighted mean of Kα1 and Kα2)).

Principal peaks in the range 2θ from 10° to 90°, most intense first:
hkl 0 0 2, 2θ 14.5, I 100; hkl 1 1 -1, 2θ 16.0, I 57; hkl 1 5 -3, 2θ 36.3, I 45; hkl 1 1 1, 2θ 18.1, I 42; hkl 2 0 2, 2θ 34.9, I 29; hkl 0 2 1, 2θ 12.9, I 25; hkl 1 5 -1, 2θ 30.9, I 23; hkl 1 1 -3, 2θ 24.7, I 19; hkl 1 5 5, 2θ 50.5, I 16; hkl 3 5 -1, 2θ 52.0, I 16

Crystal structure
```
data_CoW2Cl10
_chemical_formula_sum 'Co4 W8 Cl40'
_symmetry_space_group_name_H-M 'C 1 2/c 1'
_symmetry_Int_Tables_number 15
_symmetry_space_group_name_Hall '-C 2yc'
_cell_length_a 6.2088
_cell_length_b 16.6477
_cell_length_c 12.4058
_cell_angle_alpha 90.00
_cell_angle_beta 99.63
_cell_angle_gamma 90.00
loop_
_atom_site_label
_atom_site_fract_x
_atom_site_fract_y
_atom_site_fract_z
_atom_site_occupancy
Co1 0.0000 0.0536 0.2500 1
W1 0.0000 0.2721 0.2500 1
W2 0.0000 0.4344 0.2500 1
Cl1 0.1130 0.1605 0.1413 1
Cl2 0.1290 0.3533 0.1161 1
Cl3 0.1316 0.4585 0.6417 1
Cl4 0.1499 0.0508 0.6402 1
Cl5 0.1589 0.2401 0.6431 1
```

=====

For CrCl3, a crystal structure in the Materials Project, relaxed with GGA-PBE gives the theoretical powder X-ray diffraction pattern in this record (Cu Kα (weighted mean of Kα1 and Kα2)).

Principal peaks in the range 2θ from 10° to 90°, most intense first:
hkl 0 0 1, 2θ 14.1, I 100; hkl 1 3 1, 2θ 35.1, I 71; hkl 2 0 -2, 2θ 35.4, I 36; hkl 0 6 0, 2θ 52.3, I 29; hkl 1 1 0, 2θ 17.5, I 25; hkl 1 3 -3, 2θ 49.1, I 20; hkl 1 3 2, 2θ 45.0, I 20; hkl 1 1 -1, 2θ 19.4, I 16; hkl 2 0 -1, 2θ 29.9, I 15; hkl 0 2 0, 2θ 16.9, I 14

Crystal structure
```
data_CrCl3
_chemical_formula_sum 'Cr4 Cl12'
_symmetry_space_group_name_H-M 'C 1 2/m 1'
_symmetry_Int_Tables_number 12
_symmetry_space_group_name_Hall '-C 2y'
_cell_length_a 6.0609
_cell_length_b 10.4959
_cell_length_c 6.5808
_cell_angle_alpha 90.00
_cell_angle_beta 107.38
_cell_angle_gamma 90.00
loop_
_atom_site_label
_atom_site_fract_x
_atom_site_fract_y
_atom_site_fract_z
_atom_site_occupancy
Cr1 0.0000 0.1667 0.0000 1
Cl1 0.2091 0.0000 0.2131 1
Cl2 0.2486 0.3203 0.2124 1
```

=====

For CrCl3, a crystal structure in the Materials Project, relaxed with GGA-PBE gives the theoretical powder X-ray diffraction pattern in this record (Cu Kα (weighted mean of Kα1 and Kα2)).

Principal peaks in the range 2θ from 10° to 90°, most intense first:
hkl 0 0 3, 2θ 13.1, I 100; hkl 1 1 3, 2θ 32.5, I 67; hkl 1 1 6, 2θ 40.0, I 50; hkl 1 0 1, 2θ 17.5, I 23; hkl 2 -1 9, 2θ 50.6, I 23; hkl 3 0 0, 2θ 52.4, I 20; hkl 0 1 2, 2θ 19.1, I 17; hkl 2 -1 12, 2θ 63.1, I 15; hkl 3 0 3, 2θ 54.3, I 13; hkl 4 -2 6, 2θ 68.0, I 8

Crystal structure
```
data_CrCl3
_chemical_formula_sum 'Cr6 Cl18'
_symmetry_space_group_name_H-M 'R -3'
_symmetry_Int_Tables_number 148
_symmetry_space_group_name_Hall '-R 3'
_cell_length_a 6.0459
_cell_length_b 6.0459
_cell_length_c 20.2479
_cell_angle_alpha 90.00
_cell_angle_beta 90.00
_cell_angle_gamma 120.00
loop_
_atom_site_label
_atom_site_fract_x
_atom_site_fract_y
_atom_site_fract_z
_atom_site_occupancy
Cr1 0.0000 0.0000 0.1667 1
Cl1 0.0000 0.3569 0.4342 1
```

=====

For CrCl3, a crystal structure in the Materials Project, relaxed with GGA-PBE gives the theoretical powder X-ray diffraction pattern in this record (Cu Kα (weighted mean of Kα1 and Kα2)).

Principal peaks in the range 2θ from 10° to 90°, most intense first:
hkl 0 0 3, 2θ 13.5, I 100; hkl 1 1 5, 2θ 37.4, I 74; hkl 1 1 2, 2θ 30.8, I 40; hkl 3 0 0, 2θ 52.2, I 23; hkl 1 0 1, 2θ 17.5, I 20; hkl 2 -1 10, 2θ 55.7, I 20; hkl 2 -1 7, 2θ 43.9, I 15; hkl 1 0 2, 2θ 19.1, I 14; hkl 3 0 3, 2θ 54.2, I 12; hkl 1 0 0, 2θ 16.9, I 11

Crystal structure
```
data_CrCl3
_chemical_formula_sum 'Cr6 Cl18'
_symmetry_space_group_name_H-M 'P 32 1 2'
_symmetry_Int_Tables_number 153
_symmetry_space_group_name_Hall 'P 32 2 (0 0 2)'
_cell_length_a 6.0702
_cell_length_b 6.0702
_cell_length_c 19.6824
_cell_angle_alpha 90.00
_cell_angle_beta 90.00
_cell_angle_gamma 120.00
loop_
_atom_site_label
_atom_site_fract_x
_atom_site_fract_y
_atom_site_fract_z
_atom_site_occupancy
Cr1 0.2222 0.1111 0.0000 1
Cr2 0.2223 0.4446 0.3333 1
Cl1 0.1949 0.0836 0.5987 1
Cl2 0.1948 0.4443 0.7347 1
Cl3 0.5280 0.0836 0.9320 1
```

=====

For CrCl3, a crystal structure in the Materials Project, relaxed with GGA-PBE gives the theoretical powder X-ray diffraction pattern in this record (Cu Kα (weighted mean of Kα1 and Kα2)).

Principal peaks in the range 2θ from 10° to 90°, most intense first:
hkl 1 3 -1, 2θ 18.4, I 100; hkl 2 0 0, 2θ 19.6, I 84; hkl 1 5 0, 2θ 26.2, I 42; hkl 1 1 -1, 2θ 12.3, I 38; hkl 4 0 0, 2θ 39.8, I 37; hkl 1 5 -2, 2θ 35.0, I 36; hkl 3 5 0, 2θ 38.6, I 31; hkl 1 5 1, 2θ 33.5, I 28; hkl 3 5 -3, 2θ 42.6, I 25; hkl 2 0 -2, 2θ 22.8, I 24

Crystal structure
```
data_CrCl3
_chemical_formula_sum 'Cr12 Cl36'
_symmetry_space_group_name_H-M 'C 1 2/m 1'
_symmetry_Int_Tables_number 12
_symmetry_space_group_name_Hall '-C 2y'
_cell_length_a 11.9272
_cell_length_b 18.3409
_cell_length_c 7.7902
_cell_angle_alpha 90.00
_cell_angle_beta 130.53
_cell_angle_gamma 90.00
loop_
_atom_site_label
_atom_site_fract_x
_atom_site_fract_y
_atom_site_fract_z
_atom_site_occupancy
Cr1 0.0000 0.0000 0.0000 1
Cr2 0.0000 0.0937 0.5000 1
Cr3 0.0000 0.3758 0.0000 1
Cr4 0.0000 0.5000 0.5000 1
Cl1 0.0032 0.3164 0.7639 1
Cl2 0.0139 0.0989 0.2099 1
Cl3 0.0190 0.5000 0.2120 1
Cl4 0.1717 0.0000 0.6829 1
Cl5 0.2096 0.1693 0.7114 1
Cl6 0.2468 0.5000 0.7930 1
```

=====

For CrCl3, a crystal structure in the Materials Project, relaxed with GGA-PBE gives the theoretical powder X-ray diffraction pattern in this record (Cu Kα (weighted mean of Kα1 and Kα2)).

Principal peaks in the range 2θ from 10° to 90°, most intense first:
hkl 2 0 0, 2θ 18.4, I 100; hkl 0 2 0, 2θ 10.2, I 91; hkl 1 3 -1, 2θ 19.1, I 88; hkl 1 1 -1, 2θ 12.4, I 32; hkl 1 5 -2, 2θ 35.2, I 31; hkl 3 5 -1, 2θ 34.4, I 30; hkl 2 0 1, 2θ 28.9, I 30; hkl 1 5 3, 2θ 56.0, I 27; hkl 2 0 -3, 2θ 34.8, I 27; hkl 2 4 0, 2θ 27.6, I 26

Crystal structure
```
data_CrCl3
_chemical_formula_sum 'Cr12 Cl36'
_symmetry_space_group_name_H-M 'C 1 2/m 1'
_symmetry_Int_Tables_number 12
_symmetry_space_group_name_Hall '-C 2y'
_cell_length_a 11.8818
_cell_length_b 17.3647
_cell_length_c 7.8503
_cell_angle_alpha 90.00
_cell_angle_beta 125.57
_cell_angle_gamma 90.00
loop_
_atom_site_label
_atom_site_fract_x
_atom_site_fract_y
_atom_site_fract_z
_atom_site_occupancy
Cr1 0.0000 0.0000 0.0000 1
Cr2 0.0000 0.1053 0.5000 1
Cr3 0.0000 0.3900 0.0000 1
Cr4 0.0000 0.5000 0.5000 1
Cl1 0.0214 0.1041 0.8241 1
Cl2 0.0345 0.5000 0.2225 1
Cl3 0.0699 0.3230 0.8465 1
Cl4 0.1569 0.0000 0.6303 1
Cl5 0.1718 0.1887 0.6251 1
Cl6 0.2401 0.5000 0.7583 1
```

=====

For CrCl, a crystal structure in the Materials Project, relaxed with GGA-PBE gives the theoretical powder X-ray diffraction pattern in this record (Cu Kα (weighted mean of Kα1 and Kα2)).

Principal peaks in the range 2θ from 10° to 90°, most intense first:
hkl 1 0 0, 2θ 25.0, I 100; hkl 1 0 1, 2θ 28.2, I 86; hkl 1 0 3, 2θ 46.9, I 84; hkl 1 1 0, 2θ 44.1, I 75; hkl 0 0 2, 2θ 25.7, I 58; hkl 1 1 2, 2θ 51.7, I 42; hkl 1 0 2, 2θ 36.2, I 33; hkl 2 1 3, 2θ 83.1, I 27; hkl 2 0 3, 2θ 66.3, I 26; hkl 1 0 5, 2θ 73.3, I 16

Crystal structure
```
data_CrCl
_chemical_formula_sum 'Cr2 Cl2'
_symmetry_space_group_name_H-M 'P 63 m c'
_symmetry_Int_Tables_number 186
_symmetry_space_group_name_Hall 'P 6c -2c'
_cell_length_a 4.1109
_cell_length_b 4.1109
_cell_length_c 6.9310
_cell_angle_alpha 90.00
_cell_angle_beta 90.00
_cell_angle_gamma 120.00
loop_
_atom_site_label
_atom_site_fract_x
_atom_site_fract_y
_atom_site_fract_z
_atom_site_occupancy
Cr1 0.3333 0.6667 0.0000 1
Cl1 0.3333 0.6667 0.6336 1
```

=====

What is the formula in the first record? TlCoCl3